# La2AgI2N2
Simulated powder XRD pattern, Cu Kα X-rays. Input: DFT lattice parameters and positions (PBE).
Kinematic intensities with the Lorentz-polarization factor, no thermal factor.

Unit cell a=4.1575 b=4.1575 c=13.3516 alpha=90.00 beta=90.00 gamma=120.00
Space group P-3m1 (No. 164)
Asymmetric unit:
La  0.3333  0.6667  0.1095 (multiplicity 2)
Ag  0.0000  0.0000  0.5000 (multiplicity 1)
I  0.0000  0.0000  0.3023 (multiplicity 2)
N  0.3333  0.6667  0.9287 (multiplicity 2)

Peak list (10 most intense, 15° ≤ 2θ ≤ 90°, most intense first)
2θ/deg, I_rel
25.6, 100
43.5, 44
28.2, 40
56.1, 39
36.7, 32
33.6, 29
32.0, 28
24.7, 21
48.1, 20
51.2, 14

=====

# W2Au
Simulated powder XRD pattern, Cu Kα X-rays. Input: DFT lattice parameters and positions (PBE).
Kinematic intensities with the Lorentz-polarization factor, no thermal factor.

Unit cell a=4.257 b=11.407 c=4.130 alpha=90.00 beta=90.00 gamma=90.00
Space group Cmcm (No. 63)
Asymmetric unit:
W  0.000  0.098  0.250 (multiplicity 4)
W  0.000  0.248  0.750 (multiplicity 4)
Au  0.000  0.419  0.250 (multiplicity 4)

Peak list (10 most intense, 15° ≤ 2θ ≤ 90°, most intense first)
2θ/deg, I_rel
38.5, 100
42.5, 20
43.8, 18
75.1, 15
77.0, 14
47.8, 13
62.7, 13
82.5, 11
65.9, 10
82.8, 9

=====

# PmGe3
Simulated powder XRD pattern, Cu Kα X-rays. Input: DFT lattice parameters and positions (PBE).
Kinematic intensities with the Lorentz-polarization factor, no thermal factor.

Unit cell a=4.063 b=4.481 c=4.744 alpha=90.00 beta=90.00 gamma=90.00
Space group Pmm2 (No. 25)
Asymmetric unit:
Pm  0.000  0.000  0.000 (multiplicity 1)
Ge  0.000  0.500  0.468 (multiplicity 1)
Ge  0.500  0.000  0.492 (multiplicity 1)
Ge  0.500  0.500  0.843 (multiplicity 1)

Peak list (10 most intense, 15° ≤ 2θ ≤ 90°, most intense first)
2θ/deg, I_rel
35.3, 100
40.3, 20
44.6, 15
37.9, 14
70.0, 13
28.9, 12
61.6, 11
27.4, 11
76.1, 10
43.2, 10

=====

# Dy4Ho3Cd4
Simulated powder XRD pattern, Cu Kα X-rays. Input: DFT lattice parameters and positions (PBE).
Kinematic intensities with the Lorentz-polarization factor, no thermal factor.

Unit cell a=5.300 b=6.924 c=17.147 alpha=90.00 beta=90.00 gamma=90.00
Space group Immm (No. 71)
Asymmetric unit:
Dy  0.000  0.239  0.182 (multiplicity 8)
Ho  0.000  0.000  0.398 (multiplicity 4)
Ho  0.000  0.500  0.500 (multiplicity 2)
Cd  0.000  0.290  0.000 (multiplicity 4)
Cd  0.000  0.500  0.326 (multiplicity 4)

Peak list (10 most intense, 15° ≤ 2θ ≤ 90°, most intense first)
2θ/deg, I_rel
31.3, 100
33.8, 43
31.1, 26
40.8, 22
34.7, 22
38.1, 21
29.1, 20
68.3, 18
29.7, 17
58.9, 14